Simulated PXRD pattern of AcNdY14 for Cu Kα X-rays, from a PBE-relaxed structure.

Top 12 peaks for 2θ = 10–90°, sorted by position:
| 2theta | d/Å | I_rel |
| --- | --- | --- |
| 29.48 | 3.030 | 57 |
| 30.71 | 2.911 | 36 |
| 32.41 | 2.762 | 100 |
| 36.83 | 2.440 | 31 |
| 48.69 | 1.870 | 15 |
| 50.26 | 1.815 | 9 |
| 50.42 | 1.810 | 18 |
| 55.68 | 1.651 | 20 |
| 60.06 | 1.540 | 10 |
| 60.20 | 1.537 | 20 |
| 61.12 | 1.516 | 10 |
| 85.64 | 1.134 | 9 |

Crystal structure
a b c (Å): 11.645 7.240 7.240
angles (deg): 60.19 90.00 90.00
Element x y z (fractional)
Ac 0.000 0.000 0.000
Nd 0.000 0.501 0.501
Y 0.000 0.002 0.500
Y 0.000 0.500 0.002
Y 0.251 0.668 0.668
Y 0.255 0.169 0.169
Y 0.256 0.169 0.665
Y 0.256 0.665 0.169
Y 0.500 0.335 0.335
Y 0.500 0.336 0.834
Y 0.500 0.834 0.336
Y 0.500 0.834 0.834
Y 0.744 0.169 0.665
Y 0.744 0.665 0.169
Y 0.745 0.169 0.169
Y 0.749 0.668 0.668

***

Simulated PXRD pattern of SrNbPb3 for Cu Kα X-rays, from a PBE-relaxed structure.

Top 12 peaks for 2θ = 10–90°, sorted by position:
| 2theta | d/Å | I_rel |
| --- | --- | --- |
| 15.96 | 5.555 | 34 |
| 27.82 | 3.207 | 100 |
| 32.23 | 2.777 | 90 |
| 36.16 | 2.484 | 19 |
| 46.23 | 1.964 | 67 |
| 49.21 | 1.852 | 10 |
| 54.82 | 1.675 | 48 |
| 57.47 | 1.603 | 24 |
| 67.44 | 1.389 | 11 |
| 74.45 | 1.274 | 20 |
| 76.73 | 1.242 | 31 |
| 85.68 | 1.134 | 24 |

Crystal structure
a b c (Å): 5.555 5.555 5.555
angles (deg): 90.00 90.00 90.00
Element x y z (fractional)
Sr 0.000 0.000 0.000
Nb 0.500 0.500 0.500
Pb 0.000 0.500 0.500
Pb 0.500 0.000 0.500
Pb 0.500 0.500 0.000

***

Simulated PXRD pattern of Mg3Sc9O2 for Cu Kα X-rays, from a PBE-relaxed structure.

Top 12 peaks for 2θ = 10–90°, sorted by position:
| 2theta | d/Å | I_rel |
| --- | --- | --- |
| 11.27 | 7.853 | 1 |
| 15.95 | 5.555 | 1 |
| 19.57 | 4.535 | 16 |
| 27.82 | 3.207 | 1 |
| 34.25 | 2.618 | 100 |
| 39.75 | 2.268 | 63 |
| 44.68 | 2.028 | 5 |
| 57.47 | 1.603 | 38 |
| 61.32 | 1.512 | 2 |
| 68.63 | 1.367 | 34 |
| 72.15 | 1.309 | 12 |
| 85.68 | 1.134 | 5 |

Crystal structure
a b c (Å): 6.415 6.415 7.853
angles (deg): 90.00 90.00 120.00
Element x y z (fractional)
Mg 0.000 0.000 0.000
Mg 0.333 0.667 0.335
Mg 0.667 0.333 0.665
Sc 0.000 0.500 0.000
Sc 0.169 0.339 0.672
Sc 0.169 0.831 0.672
Sc 0.339 0.169 0.328
Sc 0.500 0.000 0.000
Sc 0.500 0.500 0.000
Sc 0.661 0.831 0.672
Sc 0.831 0.169 0.328
Sc 0.831 0.661 0.328
O 0.333 0.667 0.840
O 0.667 0.333 0.160

***

Simulated PXRD pattern of MgGaF5 for Cu Kα X-rays, from a PBE-relaxed structure.

Top 12 peaks for 2θ = 10–90°, sorted by position:
| 2theta | d/Å | I_rel |
| --- | --- | --- |
| 18.21 | 4.872 | 71 |
| 23.42 | 3.799 | 99 |
| 26.64 | 3.346 | 46 |
| 27.76 | 3.214 | 100 |
| 28.11 | 3.174 | 72 |
| 44.44 | 2.039 | 24 |
| 47.89 | 1.899 | 35 |
| 48.87 | 1.864 | 33 |
| 49.53 | 1.840 | 38 |
| 56.26 | 1.635 | 26 |
| 70.84 | 1.330 | 18 |
| 71.37 | 1.322 | 22 |

Crystal structure
a b c (Å): 5.289 5.289 5.289
angles (deg): 138.74 106.24 88.20
Element x y z (fractional)
Mg 0.000 0.000 0.000
Ga 0.500 0.500 0.000
F 0.196 0.500 0.696
F 0.250 0.250 0.000
F 0.500 0.000 0.500
F 0.750 0.750 0.000
F 0.804 0.500 0.304

***

Simulated PXRD pattern of Pr2Sm3Sc4 for Cu Kα X-rays, from a PBE-relaxed structure.

Top 12 peaks for 2θ = 10–90°, sorted by position:
| 2theta | d/Å | I_rel |
| --- | --- | --- |
| 21.86 | 4.066 | 15 |
| 23.54 | 3.779 | 17 |
| 29.66 | 3.012 | 19 |
| 30.79 | 2.904 | 53 |
| 31.49 | 2.841 | 100 |
| 32.70 | 2.738 | 92 |
| 38.23 | 2.354 | 28 |
| 38.83 | 2.319 | 26 |
| 50.80 | 1.797 | 12 |
| 52.95 | 1.729 | 12 |
| 56.79 | 1.621 | 24 |
| 56.99 | 1.616 | 14 |

Crystal structure
a b c (Å): 9.942 9.942 5.870
angles (deg): 96.40 96.40 69.79
Element x y z (fractional)
Pr 0.001 0.749 0.704
Pr 0.251 0.999 0.796
Pr 0.749 0.001 0.204
Pr 0.999 0.251 0.296
Sm 0.133 0.867 0.250
Sm 0.225 0.457 0.386
Sm 0.457 0.225 0.886
Sm 0.543 0.775 0.114
Sm 0.775 0.543 0.614
Sm 0.867 0.133 0.750
Sc 0.100 0.372 0.845
Sc 0.330 0.570 0.958
Sc 0.372 0.100 0.345
Sc 0.430 0.670 0.542
Sc 0.570 0.330 0.458
Sc 0.628 0.900 0.655
Sc 0.670 0.430 0.042
Sc 0.900 0.628 0.155

***

Simulated PXRD pattern of Cr5GaSe8 for Cu Kα X-rays, from a PBE-relaxed structure.

Top 12 peaks for 2θ = 10–90°, sorted by position:
| 2theta | d/Å | I_rel |
| --- | --- | --- |
| 14.41 | 6.147 | 12 |
| 23.64 | 3.764 | 16 |
| 27.79 | 3.210 | 35 |
| 29.05 | 3.074 | 53 |
| 33.67 | 2.662 | 81 |
| 44.20 | 2.049 | 34 |
| 48.36 | 1.882 | 100 |
| 57.41 | 1.605 | 20 |
| 60.22 | 1.537 | 17 |
| 70.80 | 1.331 | 14 |
| 80.72 | 1.190 | 19 |
| 87.37 | 1.116 | 8 |

Crystal structure
a b c (Å): 7.529 7.529 7.529
angles (deg): 60.00 60.00 60.00
Element x y z (fractional)
Cr 0.000 0.000 0.000
Cr 0.117 0.628 0.628
Cr 0.628 0.117 0.628
Cr 0.628 0.628 0.117
Cr 0.628 0.628 0.628
Ga 0.250 0.250 0.250
Se 0.386 0.386 0.386
Se 0.386 0.386 0.843
Se 0.386 0.843 0.386
Se 0.404 0.865 0.865
Se 0.843 0.386 0.386
Se 0.865 0.404 0.865
Se 0.865 0.865 0.404
Se 0.865 0.865 0.865

***

Number 1 is which compound? AcNdY14